Theoretical powder X-ray diffraction pattern of Na2FeSbO4 for Cu Kα X-rays, from a crystal structure in Alexandria, relaxed with GGA+U.

Most intense lines, 15° ≤ 2θ ≤ 90°, low angle first:
two_theta	I (rel.)	h k l
20.8	73.0	1 1 0
21.1	65.9	1 1 -1
33.1	52.5	0 2 1
37.6	100.0	2 2 -1
39.7	41.6	0 0 2
55.3	26.9	2 2 1

Cell and atoms:
```
Na2FeSbO4
1.0
6.792 0.000 0.000
0.000 6.731 0.000
-3.285 0.000 4.543
Na Fe Sb O
4 2 2 8
Direct
0.000 0.000 0.000 Na
0.000 0.246 0.500 Na
0.500 0.500 0.000 Na
0.500 0.746 0.500 Na
0.000 0.492 0.000 Fe
0.500 0.992 0.000 Fe
0.000 0.733 0.500 Sb
0.500 0.233 0.500 Sb
0.197 0.534 0.451 O
0.240 0.766 0.949 O
0.260 0.266 0.051 O
0.303 0.034 0.549 O
0.697 0.034 0.451 O
0.740 0.266 0.949 O
0.760 0.766 0.051 O
0.803 0.534 0.549 O
```